# CaTb2CdPd4
Simulated powder diffractogram, Cu Kα X-rays. Input: a cell relaxed with PBE.
No peak broadening, texture or thermal motion is included.

Crystal structure
a b c (Å): 4.8886 4.8886 24.0537
angles (deg): 90.00 90.00 120.00
Space group R-3m (No. 166, hexagonal axes)
Unique sites:
Ca (0.0000, 0.0000, 0.0000) x3
Tb (0.0000, 0.0000, 0.2450) x6
Cd (0.0000, 0.0000, 0.5000) x3
Pd (0.0000, 0.0000, 0.1246) x6
Pd (0.0000, 0.0000, 0.3770) x6

Largest 10 diffraction maxima, in order of rising 2θ, 2θ from 10° to 90°:
| 2theta | Rel. int. | hkl |
| --- | --- | --- |
| 22.23 | 14 | 0 0 6 |
| 36.66 | 98 | 0 1 8 |
| 36.77 | 100 | 1 1 0 |
| 52.90 | 34 | 2 0 8 |
| 65.94 | 16 | 1 0 16 |
| 66.18 | 51 | 3 0 0 |
| 77.95 | 10 | 0 2 16 |
| 78.22 | 11 | 2 2 0 |
| 89.44 | 14 | 2 1 16 |
| 89.63 | 15 | 3 1 8 |